[1]
CoWSe: simulated powder X-ray diffraction pattern (Cu Kα (weighted mean of Kα1 and Kα2)), based on a structure optimized by DFT (GGA-PBE).
No peak broadening, texture or thermal motion is included.

Lattice parameters (Å, degrees): 11.3482 3.1635 5.5099 90.00 90.00 90.00
Space group Amm2 (No. 38)
One atom of each set of equivalent atoms:
Co (0.1402, 0.0000, 0.0000) (multiplicity 4)
W (0.0000, 0.0000, 0.3354) (multiplicity 2)
W (0.5000, 0.0000, 0.2322) (multiplicity 2)
Se (0.3435, 0.0000, 0.5628) (multiplicity 4)

The 12 most intense peaks (2θ = 15–90°), by angle:
Position (°2θ), d_spacing, I (rel.), hkl
15.6, 5.674, 100.0, 2 0 0
32.6, 2.743, 37.9, 0 1 1
33.5, 2.677, 34.0, 1 0 2
36.2, 2.478, 46.2, 2 0 2
36.4, 2.470, 88.4, 2 1 1
40.6, 2.221, 70.1, 3 1 1
45.9, 1.976, 43.4, 4 0 2
46.0, 1.972, 52.8, 4 1 1
48.1, 1.891, 25.5, 6 0 0
58.3, 1.582, 17.7, 0 2 0
58.7, 1.573, 32.3, 1 1 3
77.3, 1.235, 18.3, 4 2 2


[2]
K13Cd2: simulated powder X-ray diffraction pattern (Cu Kα (weighted mean of Kα1 and Kα2)), based on a structure optimized by DFT (GGA-PBE).
No peak broadening, texture or thermal motion is included.

Lattice parameters (Å, degrees): 8.6711 10.3507 11.7388 65.57 89.23 78.51
Space group P-1 (No. 2)
One atom of each set of equivalent atoms:
K (0.0000, 0.0000, 0.0000) (multiplicity 1)
K (0.0463, 0.5582, 0.6437) (multiplicity 2)
K (0.1706, 0.0174, 0.6498) (multiplicity 2)
K (0.2315, 0.5831, 0.0160) (multiplicity 2)
K (0.2902, 0.0916, 0.2563) (multiplicity 2)
K (0.4330, 0.2261, 0.8601) (multiplicity 2)
K (0.4842, 0.3433, 0.4310) (multiplicity 2)
Cd (0.1992, 0.7183, 0.3118) (multiplicity 2)

The 12 most intense peaks (2θ = 15–90°), by angle:
Position (°2θ), d_spacing, I (rel.), hkl
23.4, 3.796, 49.4, -1 2 2
23.9, 3.727, 71.4, 1 -2 0
24.6, 3.622, 69.9, 2 2 1
25.0, 3.564, 65.2, 1 1 3
25.1, 3.548, 100.0, 0 0 3
26.6, 3.349, 99.3, 0 3 1
26.7, 3.338, 89.5, -2 1 2
26.9, 3.313, 44.8, 1 3 2
28.0, 3.190, 62.9, 1 0 3
28.1, 3.173, 65.0, 2 -1 1
28.7, 3.107, 56.6, 2 2 -1
33.5, 2.677, 49.1, 3 0 1


[3]
Ce3ThIn4: simulated powder X-ray diffraction pattern (Cu Kα (weighted mean of Kα1 and Kα2)), based on a structure optimized by DFT (GGA-PBE).
No peak broadening, texture or thermal motion is included.

Lattice parameters (Å, degrees): 4.1780 4.1780 12.9105 90.00 90.00 90.00
Space group P4/mmm (No. 123)
One atom of each set of equivalent atoms:
Ce (0.0000, 0.0000, 0.0000) (multiplicity 1)
Ce (0.0000, 0.0000, 0.2445) (multiplicity 2)
Th (0.0000, 0.0000, 0.5000) (multiplicity 1)
In (0.5000, 0.5000, 0.1230) (multiplicity 2)
In (0.5000, 0.5000, 0.3723) (multiplicity 2)

The 12 most intense peaks (2θ = 15–90°), by angle:
Position (°2θ), d_spacing, I (rel.), hkl
21.3, 4.178, 4.2, 1 0 0
30.3, 2.954, 74.9, 1 1 0
35.1, 2.554, 100.0, 1 0 4
43.3, 2.089, 28.0, 2 0 0
56.9, 1.617, 49.2, 2 1 4
57.1, 1.614, 6.0, 0 0 8
62.9, 1.477, 9.1, 2 2 0
66.0, 1.416, 15.4, 1 1 8
71.4, 1.321, 12.5, 3 1 0
74.2, 1.279, 11.2, 3 0 4
74.3, 1.277, 10.9, 2 0 8
90.0, 1.091, 14.4, 3 2 4


[4]
Na3InGe: simulated powder X-ray diffraction pattern (Cu Kα (weighted mean of Kα1 and Kα2)), based on a structure optimized by DFT (GGA-PBE).
No peak broadening, texture or thermal motion is included.

Lattice parameters (Å, degrees): 11.3342 11.3342 4.3598 90.00 90.00 90.00
Space group P4_2/mnm (No. 136)
One atom of each set of equivalent atoms:
Na (0.0039, 0.3302, 0.0000) (multiplicity 8)
Na (0.1256, 0.1256, 0.5000) (multiplicity 4)
In (0.1897, 0.8103, 0.5000) (multiplicity 4)
Ge (0.0767, 0.9233, 0.0000) (multiplicity 4)

The 12 most intense peaks (2θ = 15–90°), by angle:
Position (°2θ), d_spacing, I (rel.), hkl
17.5, 5.069, 90.8, 2 1 0
23.2, 3.830, 34.4, 1 1 1
27.0, 3.305, 17.6, 2 1 1
31.3, 2.855, 100.0, 3 0 1
32.3, 2.769, 45.7, 3 1 1
32.6, 2.749, 16.5, 4 1 0
33.5, 2.672, 31.7, 3 3 0
35.2, 2.550, 16.0, 3 2 1
39.8, 2.267, 21.7, 4 3 0
41.2, 2.191, 54.3, 4 2 1
41.4, 2.180, 24.4, 0 0 2
45.1, 2.011, 21.3, 5 0 1


[5]
La5MgRe3O16: simulated powder X-ray diffraction pattern (Cu Kα (weighted mean of Kα1 and Kα2)), based on a structure optimized by DFT (GGA-PBE).
No peak broadening, texture or thermal motion is included.

Lattice parameters (Å, degrees): 5.6804 5.6855 10.2423 93.47 93.48 90.81
Space group P-1 (No. 2)
One atom of each set of equivalent atoms:
La (0.0000, 0.0000, 0.0000) (multiplicity 1)
La (0.0338, 0.5102, 0.7083) (multiplicity 2)
La (0.4848, 0.9720, 0.3004) (multiplicity 2)
Mg (0.5000, 0.5000, 0.5000) (multiplicity 1)
Re (0.0000, 0.0000, 0.5000) (multiplicity 1)
Re (0.4458, 0.4455, 0.1063) (multiplicity 2)
O (0.0734, 0.0787, 0.6821) (multiplicity 2)
O (0.1862, 0.2840, 0.4613) (multiplicity 2)
O (0.2199, 0.6954, 0.1348) (multiplicity 2)
O (0.2240, 0.2179, 0.1759) (multiplicity 2)
O (0.2968, 0.7730, 0.8634) (multiplicity 2)
O (0.2988, 0.8081, 0.4993) (multiplicity 2)
O (0.3100, 0.3053, 0.9338) (multiplicity 2)
O (0.4556, 0.4540, 0.6976) (multiplicity 2)

The 12 most intense peaks (2θ = 15–90°), by angle:
Position (°2θ), d_spacing, I (rel.), hkl
17.4, 5.092, 26.6, 0 1 -1
18.4, 4.833, 44.7, 0 1 1
22.7, 3.915, 27.7, 0 1 -2
23.7, 3.762, 24.4, -1 1 1
28.1, 3.171, 88.7, -1 1 2
29.7, 3.012, 68.3, 1 1 2
31.5, 2.836, 100.0, 0 2 0
33.2, 2.702, 32.0, 1 1 -3
39.6, 2.275, 23.4, 1 0 4
44.8, 2.023, 38.6, 2 -2 0
54.6, 1.680, 25.1, 3 -1 2
55.9, 1.645, 28.8, 1 3 2


> Which formula does entry 5 have?

La5MgRe3O16